VCrIn: theoretical XRD peak list (λ = 1.5418 Å (Cu Kα)), based on a cell relaxed with PBE.

Structural model:
```
12
Lattice="4.438 0.000 0.000 0.000 9.429 0.000 0.000 0.000 4.427" Properties=species:S:1:pos:R:3 pbc="T T T"
V 0.000 1.824 0.000
V 0.000 7.605 0.000
V 2.219 2.891 0.000
V 2.219 6.538 0.000
Cr 0.000 2.853 2.214
Cr 0.000 6.576 2.214
Cr 2.219 1.862 2.214
Cr 2.219 7.567 2.214
In 0.000 0.000 2.214
In 0.000 4.715 0.000
In 2.219 0.000 0.000
In 2.219 4.715 2.214
```

Principal peaks in the range 2θ from 10° to 80°, sorted by position:
30.04 deg, I = 28, hkl 1 1 1
40.65 deg, I = 100, hkl 2 0 0
40.76 deg, I = 22, hkl 0 0 2
57.03 deg, I = 13, hkl 2 4 0
58.93 deg, I = 14, hkl 2 0 2
73.96 deg, I = 20, hkl 3 3 1